# 1
Structure and calculated powder X-ray diffraction pattern of KEuHf2O6 (the GGA-PBE geometry in the Materials Project; copper Kα).
No peak broadening, texture or thermal motion is included.

a b c (Å): 8.2664 8.2664 8.2664
angles (deg): 90.00 90.00 90.00
Space group Fm-3m (No. 225)
One atom of each set of equivalent atoms:
K (0.0000, 0.0000, 0.0000) x4
Eu (0.0000, 0.0000, 0.5000) x4
Hf (0.2500, 0.2500, 0.2500) x8
O (0.0000, 0.2500, 0.2500) x24

Top 12 peaks for 15 to 90 degrees two-theta, by angle:
2θ = 18.59°, I = 10.1; 2θ = 21.50°, I = 17.1; 2θ = 30.59°, I = 100.0; 2θ = 36.03°, I = 6.3; 2θ = 43.81°, I = 29.2; 2θ = 49.30°, I = 7.5; 2θ = 54.37°, I = 40.5; 2θ = 63.68°, I = 18.2; 2θ = 68.05°, I = 3.5; 2θ = 72.29°, I = 17.6; 2θ = 80.50°, I = 6.1; 2θ = 88.52°, I = 21.7


# 2
Structure and calculated powder X-ray diffraction pattern of MgTiInS4 (the GGA-PBE geometry in the Materials Project; copper Kα).
No peak broadening, texture or thermal motion is included.

a b c (Å): 10.5925 10.8066 7.3642
angles (deg): 90.00 133.98 90.00
Space group C2/c (No. 15)
One atom of each set of equivalent atoms:
Mg (0.0000, 0.1236, 0.2500) x4
Ti (0.0000, 0.5000, 0.0000) x4
In (0.2500, 0.2500, 0.0000) x4
S (0.0001, 0.2697, 0.5061) x8
S (0.2265, 0.4980, 0.9765) x8

Top 12 peaks for 15 to 90 degrees two-theta, by angle:
2θ = 16.41°, I = 13.2; 2θ = 24.17°, I = 11.5; 2θ = 27.60°, I = 100.0; 2θ = 28.15°, I = 14.9; 2θ = 33.16°, I = 39.8; 2θ = 33.85°, I = 77.8; 2θ = 44.70°, I = 27.8; 2θ = 47.73°, I = 18.6; 2θ = 48.11°, I = 72.4; 2θ = 49.51°, I = 17.6; 2θ = 59.35°, I = 12.0; 2θ = 60.89°, I = 12.0


# 3
Structure and calculated powder X-ray diffraction pattern of La2HfSe5 (the GGA-PBE geometry in the Materials Project; copper Kα).
No peak broadening, texture or thermal motion is included.

a b c (Å): 12.3158 8.4570 7.8429
angles (deg): 90.00 90.00 90.00
Space group Pnma (No. 62)
One atom of each set of equivalent atoms:
La (0.1774, 0.0020, 0.0305) x8
Hf (0.0069, 0.7500, 0.5757) x4
Se (0.0066, 0.7500, 0.9412) x4
Se (0.0841, 0.0361, 0.6624) x8
Se (0.1800, 0.7500, 0.3416) x4
Se (0.2046, 0.2500, 0.3193) x4

Top 12 peaks for 15 to 90 degrees two-theta, by angle:
2θ = 24.47°, I = 53.4; 2θ = 24.99°, I = 35.4; 2θ = 25.55°, I = 34.4; 2θ = 31.21°, I = 38.7; 2θ = 31.96°, I = 55.3; 2θ = 32.47°, I = 42.7; 2θ = 34.42°, I = 100.0; 2θ = 35.08°, I = 31.1; 2θ = 36.09°, I = 44.3; 2θ = 42.77°, I = 49.8; 2θ = 44.09°, I = 64.8; 2θ = 49.86°, I = 31.9


# 4
Structure and calculated powder X-ray diffraction pattern of ZnN2Cl2 (the GGA-PBE geometry in the Materials Project; copper Kα).
No peak broadening, texture or thermal motion is included.

a b c (Å): 8.1290 8.4619 8.0256
angles (deg): 90.00 90.00 90.00
Space group Imma (No. 74)
One atom of each set of equivalent atoms:
Zn (0.0000, 0.2500, 0.1034) x4
N (0.0000, 0.0424, 0.2618) x8
Cl (0.2490, 0.2500, 0.0112) x8

Top 12 peaks for 15 to 90 degrees two-theta, by angle:
2θ = 15.22°, I = 93.0; 2θ = 15.52°, I = 82.3; 2θ = 21.00°, I = 100.0; 2θ = 22.15°, I = 24.7; 2θ = 26.21°, I = 55.2; 2θ = 26.75°, I = 31.2; 2θ = 26.93°, I = 67.5; 2θ = 30.71°, I = 69.5; 2θ = 31.32°, I = 32.0; 2θ = 40.64°, I = 24.8; 2θ = 44.59°, I = 24.6; 2θ = 55.50°, I = 42.3


# 5
Structure and calculated powder X-ray diffraction pattern of U2Ga2O5 (the GGA-PBE geometry in the Materials Project; copper Kα).
No peak broadening, texture or thermal motion is included.

a b c (Å): 4.0244 4.0244 6.8327
angles (deg): 90.00 90.00 90.00
Space group P4/mmm (No. 123)
One atom of each set of equivalent atoms:
U (0.0000, 0.0000, 0.0000) x1
U (0.0000, 0.0000, 0.5000) x1
Ga (0.5000, 0.5000, 0.2109) x2
O (0.0000, 0.5000, 0.2393) x4
O (0.5000, 0.5000, 0.5000) x1

Top 12 peaks for 15 to 90 degrees two-theta, by angle:
2θ = 22.09°, I = 37.9; 2θ = 26.08°, I = 11.3; 2θ = 31.44°, I = 59.5; 2θ = 34.43°, I = 100.0; 2θ = 41.29°, I = 31.1; 2θ = 45.05°, I = 34.0; 2θ = 57.91°, I = 46.5; 2θ = 63.52°, I = 13.7; 2θ = 65.61°, I = 10.9; 2θ = 72.60°, I = 13.3; 2θ = 74.57°, I = 11.2; 2θ = 76.25°, I = 10.8


# 6
Structure and calculated powder X-ray diffraction pattern of PaInCu2 (the GGA-PBE geometry in the Materials Project; copper Kα).
No peak broadening, texture or thermal motion is included.

a b c (Å): 6.6990 6.6990 6.6990
angles (deg): 90.00 90.00 90.00
Space group Fm-3m (No. 225)
One atom of each set of equivalent atoms:
Pa (0.0000, 0.0000, 0.0000) x4
In (0.0000, 0.0000, 0.5000) x4
Cu (0.2500, 0.2500, 0.2500) x8

Top 12 peaks for 15 to 90 degrees two-theta, by angle:
2θ = 23.00°, I = 11.7; 2θ = 26.61°, I = 22.3; 2θ = 37.99°, I = 100.0; 2θ = 44.88°, I = 6.7; 2θ = 46.99°, I = 6.8; 2θ = 54.82°, I = 17.1; 2θ = 60.22°, I = 3.0; 2θ = 61.95°, I = 9.3; 2θ = 68.63°, I = 34.2; 2θ = 81.23°, I = 10.7; 2θ = 85.82°, I = 2.5; 2θ = 87.34°, I = 5.0


# 7
Structure and calculated powder X-ray diffraction pattern of CsRbMg14O15 (the GGA-PBE geometry in the Materials Project; copper Kα).
No peak broadening, texture or thermal motion is included.

a b c (Å): 4.1567 8.5909 10.6950
angles (deg): 90.00 90.00 90.00
Space group Pmm2 (No. 25)
One atom of each set of equivalent atoms:
Cs (0.0000, 0.0000, 0.0000) x1
Rb (0.0000, 0.5000, 0.4629) x1
Mg (0.0000, 0.0000, 0.5538) x1
Mg (0.0000, 0.2216, 0.3283) x2
Mg (0.0000, 0.2574, 0.7528) x2
Mg (0.0000, 0.5000, 0.0378) x1
Mg (0.5000, 0.0000, 0.3499) x1
Mg (0.5000, 0.0000, 0.7411) x1
Mg (0.5000, 0.2389, 0.1353) x2
Mg (0.5000, 0.2650, 0.5686) x2
Mg (0.5000, 0.5000, 0.2576) x1
Mg (0.5000, 0.5000, 0.7923) x1
O (0.0000, 0.0000, 0.3586) x1
O (0.0000, 0.0000, 0.7475) x1
O (0.0000, 0.2366, 0.5565) x2
O (0.0000, 0.2953, 0.1485) x2
O (0.0000, 0.5000, 0.8414) x1
O (0.5000, 0.0000, 0.1598) x1
O (0.5000, 0.0000, 0.5458) x1
O (0.5000, 0.2413, 0.7751) x2
O (0.5000, 0.2855, 0.3353) x2
O (0.5000, 0.5000, 0.0747) x1
O (0.5000, 0.5000, 0.6032) x1

Top 12 peaks for 15 to 90 degrees two-theta, by angle:
2θ = 20.68°, I = 21.9; 2θ = 25.22°, I = 48.7; 2θ = 26.62°, I = 61.8; 2θ = 27.14°, I = 99.0; 2θ = 34.39°, I = 98.3; 2θ = 34.76°, I = 53.2; 2θ = 39.12°, I = 39.2; 2θ = 42.07°, I = 76.2; 2θ = 43.56°, I = 100.0; 2θ = 50.81°, I = 24.3; 2θ = 51.76°, I = 21.8; 2θ = 62.15°, I = 42.4


# 8
Structure and calculated powder X-ray diffraction pattern of Zr3Cu8 (the GGA-PBE geometry in the Materials Project; copper Kα).
No peak broadening, texture or thermal motion is included.

a b c (Å): 7.9499 8.2292 10.0845
angles (deg): 90.00 90.00 90.00
Space group Pnma (No. 62)
One atom of each set of equivalent atoms:
Zr (0.0390, 0.2500, 0.0462) x4
Zr (0.0628, 0.5533, 0.6397) x8
Cu (0.1166, 0.7500, 0.4022) x4
Cu (0.1209, 0.5768, 0.1600) x8
Cu (0.1307, 0.2500, 0.7651) x4
Cu (0.1771, 0.2500, 0.5169) x4
Cu (0.1990, 0.5009, 0.9061) x8
Cu (0.2151, 0.2500, 0.2739) x4

Top 12 peaks for 15 to 90 degrees two-theta, by angle:
2θ = 36.12°, I = 20.9; 2θ = 36.70°, I = 32.0; 2θ = 38.37°, I = 37.3; 2θ = 39.06°, I = 100.0; 2θ = 39.93°, I = 45.5; 2θ = 41.49°, I = 93.2; 2θ = 42.03°, I = 55.6; 2θ = 43.62°, I = 25.4; 2θ = 43.96°, I = 75.6; 2θ = 44.46°, I = 34.4; 2θ = 47.95°, I = 17.8; 2θ = 72.61°, I = 18.4


# 9
Structure and calculated powder X-ray diffraction pattern of CsBeH3 (the GGA-PBE geometry in the Materials Project; copper Kα).
No peak broadening, texture or thermal motion is included.

a b c (Å): 5.1080 5.9607 7.8697
angles (deg): 90.00 108.22 90.00
Space group P2_1/m (No. 11)
One atom of each set of equivalent atoms:
Cs (0.1823, 0.2500, 0.2689) x2
Be (0.2393, 0.2500, 0.7387) x2
H (0.0913, 0.2500, 0.8621) x2
H (0.3037, 0.0466, 0.6717) x4

Top 12 peaks for 15 to 90 degrees two-theta, by angle:
2θ = 18.43°, I = 39.0; 2θ = 19.04°, I = 100.0; 2θ = 23.64°, I = 68.7; 2θ = 23.79°, I = 56.6; 2θ = 24.80°, I = 23.4; 2θ = 29.31°, I = 28.5; 2θ = 29.98°, I = 21.1; 2θ = 35.40°, I = 21.4; 2θ = 37.82°, I = 22.4; 2θ = 38.64°, I = 19.8; 2θ = 39.19°, I = 15.0; 2θ = 39.29°, I = 15.5


# 10
Structure and calculated powder X-ray diffraction pattern of NaZnF3 (the GGA-PBE geometry in the Materials Project; copper Kα).
No peak broadening, texture or thermal motion is included.

a b c (Å): 5.6840 7.8914 5.4901
angles (deg): 90.00 90.00 90.00
Space group Pnma (No. 62)
One atom of each set of equivalent atoms:
Na (0.0569, 0.2500, 0.0160) x4
Zn (0.0000, 0.0000, 0.5000) x4
F (0.0398, 0.7500, 0.3921) x4
F (0.2007, 0.5566, 0.8029) x8

Top 12 peaks for 15 to 90 degrees two-theta, by angle:
2θ = 22.52°, I = 100.0; 2θ = 31.48°, I = 22.9; 2θ = 32.07°, I = 90.2; 2θ = 32.62°, I = 17.3; 2θ = 45.98°, I = 57.7; 2θ = 50.99°, I = 12.8; 2θ = 51.79°, I = 32.5; 2θ = 56.42°, I = 18.6; 2θ = 56.81°, I = 14.4; 2θ = 57.86°, I = 30.8; 2θ = 67.06°, I = 15.1; 2θ = 76.29°, I = 13.4


# 11
Structure and calculated powder X-ray diffraction pattern of CdHg3 (the GGA-PBE geometry in the Materials Project; copper Kα).
No peak broadening, texture or thermal motion is included.

a b c (Å): 4.6544 4.6544 10.2815
angles (deg): 90.00 90.00 90.00
Space group I4/mmm (No. 139)
One atom of each set of equivalent atoms:
Cd (0.0000, 0.0000, 0.0000) x2
Hg (0.0000, 0.0000, 0.5000) x2
Hg (0.0000, 0.5000, 0.2500) x4

Top 12 peaks for 15 to 90 degrees two-theta, by angle:
2θ = 20.95°, I = 3.8; 2θ = 32.30°, I = 100.0; 2θ = 34.91°, I = 20.4; 2θ = 38.69°, I = 30.9; 2θ = 53.09°, I = 24.9; 2θ = 55.87°, I = 10.7; 2θ = 60.96°, I = 16.4; 2θ = 66.03°, I = 26.2; 2θ = 67.60°, I = 12.1; 2θ = 82.99°, I = 3.6; 2θ = 86.51°, I = 6.5; 2θ = 87.33°, I = 12.9